# 1
# Er5U3N8
Simulated powder X-ray diffraction pattern, Cu Kα (λ = 1.5418 Å). Input: a cell relaxed with GGA-PBE.
Lines closer than 0.1° are merged.

Main lines, by angle (2θ = 10–90°):
31.82 deg, intensity 34
32.03 deg, intensity 100
37.09 deg, intensity 91
53.32 deg, intensity 32
53.60 deg, intensity 31
63.44 deg, intensity 15
63.69 deg, intensity 30
63.82 deg, intensity 15
66.97 deg, intensity 16
88.01 deg, intensity 13

Cell and atoms:
Cell lengths 6.8728, 6.8728, 6.8728 Å; angles 59.68, 59.68, 59.68 degrees
Atoms (fractional coordinates):
Er  0.0000  0.0000  0.0000
Er  0.0000  0.5000  0.5000
Er  0.5000  0.0000  0.5000
Er  0.5000  0.5000  0.0000
Er  0.5000  0.5000  0.5000
U  0.0000  0.0000  0.5000
U  0.0000  0.5000  0.0000
U  0.5000  0.0000  0.0000
N  0.2400  0.7502  0.7502
N  0.2487  0.2487  0.2487
N  0.2498  0.2498  0.7600
N  0.2498  0.7600  0.2498
N  0.7502  0.2400  0.7502
N  0.7502  0.7502  0.2400
N  0.7513  0.7513  0.7513
N  0.7600  0.2498  0.2498

# 2
# YEr4N5
Simulated powder X-ray diffraction pattern, Cu Kα (λ = 1.5418 Å). Input: a cell relaxed with GGA-PBE.
Lines closer than 0.1° are merged.

Main lines, by angle (2θ = 10–90°):
14.58 deg, intensity 2
26.17 deg, intensity 2
28.19 deg, intensity 1
31.88 deg, intensity 100
36.97 deg, intensity 73
53.28 deg, intensity 50
63.45 deg, intensity 44
66.62 deg, intensity 17
78.71 deg, intensity 8
87.43 deg, intensity 19

Cell and atoms:
Cell lengths 12.3957, 12.3957, 12.3957 Å; angles 164.05, 164.05, 22.63 degrees
Atoms (fractional coordinates):
Y  0.0000  0.0000  0.0000
Er  0.2002  0.2002  0.0000
Er  0.3993  0.3993  0.0000
Er  0.6007  0.6007  0.0000
Er  0.7998  0.7998  0.0000
N  0.1011  0.1011  0.0000
N  0.2999  0.2999  0.0000
N  0.5000  0.5000  0.0000
N  0.7001  0.7001  0.0000
N  0.8989  0.8989  0.0000